This entry pairs a crystal structure of Ba2Mg4BiPb3 with its calculated PXRD pattern. Radiation: Cu Kα (weighted mean of Kα1 and Kα2). Structure: a DFT-relaxed cell (PBE, Alexandria).

Top 6 peaks for 2θ = 15–90°, low angle first:
h k l  2theta  I (rel.)
0 0 3  21.9  33
1 0 2  22.8  37
1 1 1  25.8  77
1 0 3  28.1  51
1 1 2  28.8  100
2 0 0  35.3  69

Cell and atoms:
```
Ba2Mg4BiPb3
1.0
5.090 0.000 0.000
0.000 5.090 0.000
0.000 0.000 12.199
Ba Mg Bi Pb
2 4 1 3
Direct
0.000 0.500 0.249
0.500 0.000 0.751
0.000 0.000 0.500
0.000 0.500 0.867
0.500 0.000 0.133
0.500 0.500 0.500
0.500 0.500 0.000
0.000 0.000 0.000
0.000 0.500 0.633
0.500 0.000 0.367
```